Theoretical XRD peak list of Li5FeOF5 for Cu Kα (weighted mean of Kα1 and Kα2), from a cell relaxed with GGA+U.

Main lines, most intense first (2θ = 15–90°):
- 43.21 deg, I = 100
- 42.65 deg, I = 53
- 20.85 deg, I = 53
- 23.24 deg, I = 43
- 18.30 deg, I = 37
- 19.97 deg, I = 32
- 27.21 deg, I = 28
- 62.37 deg, I = 27
- 62.29 deg, I = 27
- 31.89 deg, I = 21

Cell: 5.173 8.894 9.827 Å, 90.00 99.39 90.00°
Space group Cc (No. 9)
Symmetry-distinct sites (fractional):
Li (0.000, 0.064, 0.000) x4
Li (0.240, 0.074, 0.771) x4
Li (0.261, 0.413, 0.768) x4
Li (0.465, 0.083, 0.505) x4
Li (0.499, 0.255, 0.006) x4
Fe (0.234, 0.241, 0.266) x4
O (0.117, 0.089, 0.382) x4
F (0.119, 0.427, 0.386) x4
F (0.126, 0.243, 0.886) x4
F (0.358, 0.251, 0.631) x4
F (0.358, 0.407, 0.138) x4
F (0.374, 0.079, 0.131) x4